Entry 1:
The following is a computed PXRD pattern of ThMgCu. It was derived from a cell relaxed with GGA-PBE, using λ = 1.5418 Å (Cu Kα).
No peak broadening, texture or thermal motion is included.

Cell and atoms:
```
data_ThMgCu
_chemical_formula_sum 'Th6 Mg6 Cu6'
_cell_length_a 12.5518
_cell_length_b 4.4475
_cell_length_c 7.2610
_cell_angle_alpha 90.00
_cell_angle_beta 90.00
_cell_angle_gamma 90.00
_symmetry_space_group_name_H-M 'P m m a'
_symmetry_Int_Tables_number 51
_symmetry_space_group_name_Hall '-P 2a 2a'
loop_
_atom_site_label
_atom_site_type_symbol
_atom_site_fract_x
_atom_site_fract_y
_atom_site_fract_z
Th1 Th 0.0369 0.0000 0.2363
Th2 Th 0.2500 0.0000 0.8627
Mg1 Mg 0.1270 0.5000 0.5646
Mg2 Mg 0.2500 0.5000 0.2133
Cu1 Cu 0.0963 0.5000 0.9460
Cu2 Cu 0.2500 0.0000 0.4426
```

Largest 10 diffraction maxima, by angle, 2θ from 10° to 90°:
| 2theta | I/Imax | (hkl) |
| --- | --- | --- |
| 19.96 | 51 | 0 1 0 |
| 24.55 | 40 | 3 0 1 |
| 28.42 | 35 | 4 0 0 |
| 31.84 | 100 | 0 1 2 |
| 34.98 | 88 | 4 1 0 |
| 37.89 | 24 | 4 0 2 |
| 40.57 | 29 | 0 2 0 |
| 52.53 | 28 | 7 0 1 |
| 56.72 | 42 | 2 1 4 |
| 68.39 | 45 | 7 2 1 |


Entry 2:
The following is a computed PXRD pattern of TmMgCu10. It was derived from a cell relaxed with GGA-PBE, using λ = 1.5418 Å (Cu Kα).
No peak broadening, texture or thermal motion is included.

Cell and atoms:
```
data_TmMgCu10
_chemical_formula_sum 'Tm1 Mg1 Cu10'
_cell_length_a 4.0765
_cell_length_b 4.9555
_cell_length_c 8.5646
_cell_angle_alpha 90.00
_cell_angle_beta 90.00
_cell_angle_gamma 90.00
_symmetry_space_group_name_H-M 'P m m m'
_symmetry_Int_Tables_number 47
_symmetry_space_group_name_Hall '-P 2 2'
loop_
_atom_site_label
_atom_site_type_symbol
_atom_site_fract_x
_atom_site_fract_y
_atom_site_fract_z
Tm1 Tm 0.0000 0.0000 0.0000
Mg1 Mg 0.0000 0.5000 0.5000
Cu1 Cu 0.0000 0.0000 0.3408
Cu2 Cu 0.0000 0.5000 0.1760
Cu3 Cu 0.5000 0.0000 0.5000
Cu4 Cu 0.5000 0.2481 0.2495
Cu5 Cu 0.5000 0.5000 0.0000
```

Largest 10 diffraction maxima, by angle, 2θ from 10° to 90°:
| 2theta | I/Imax | (hkl) |
| --- | --- | --- |
| 10.33 | 23 | 0 0 1 |
| 30.25 | 26 | 1 1 1 |
| 36.30 | 24 | 0 2 0 |
| 42.16 | 32 | 0 0 4 |
| 42.74 | 100 | 1 2 0 |
| 44.45 | 32 | 2 0 0 |
| 47.95 | 24 | 1 2 2 |
| 62.92 | 18 | 2 0 4 |
| 69.70 | 14 | 1 3 3 |
| 80.66 | 14 | 3 2 0 |